[1]
This entry pairs a crystal structure of LaCePmSm2 with its calculated powder XRD pattern. Radiation: Cu Ka. Structure: DFT lattice parameters and positions (PBE).
Kinematic intensities with the Lorentz-polarization factor, no thermal factor.

Crystal structure
```
LaCePmSm2
1.0
8.5470 0.0000 0.0000
0.0000 6.4320 0.0000
-0.6420 0.0000 6.2359
La Ce Pm Sm
2 2 2 4
Direct
0.0000 0.0000 0.0000
0.0000 0.0000 0.5000
0.0000 0.4550 0.2500
0.0000 0.5450 0.7500
0.5000 0.1671 0.2500
0.5000 0.8329 0.7500
0.3080 0.3196 0.7177
0.3080 0.6804 0.2177
0.6920 0.3196 0.7823
0.6920 0.6804 0.2823
```

Peak list (10 most intense, 10 to 80 degrees two-theta, sorted by position)
d_spacing  Rel. int.
3.203  805
3.118  628
3.008  1000
2.975  990
2.834  469
2.806  518
2.745  847
2.594  657
2.478  456
2.093  503

***

[2]
This entry pairs a crystal structure of NdH12Rh5 with its calculated powder XRD pattern. Radiation: Cu Ka. Structure: DFT lattice parameters and positions (PBE).
Kinematic intensities with the Lorentz-polarization factor, no thermal factor.

Crystal structure
```
NdH12Rh5
1.0
4.8805 0.0000 0.0000
-2.2930 4.7946 0.0000
-0.3662 -2.6677 6.7374
Nd H Rh
1 12 5
Direct
0.0000 0.0000 0.0000
0.1179 0.3873 0.5678
0.1441 0.5154 0.2402
0.2256 0.1663 0.7511
0.3994 0.1304 0.4899
0.4275 0.8328 0.0344
0.4964 0.2363 0.2710
0.5036 0.7637 0.7290
0.5725 0.1672 0.9656
0.6006 0.8696 0.5101
0.7744 0.8337 0.2489
0.8559 0.4846 0.7598
0.8821 0.6127 0.4322
0.0000 0.0000 0.5000
0.2264 0.5303 0.8168
0.4374 0.8783 0.2742
0.5626 0.1217 0.7258
0.7736 0.4697 0.1832
```

Peak list (10 most intense, 10 to 80 degrees two-theta, sorted by position)
d_spacing  Rel. int.
4.572  266
4.458  291
3.344  384
2.710  410
2.627  395
2.478  1000
2.437  671
2.412  537
2.391  305
2.229  250